Record 1
For V2OF5, a DFT-relaxed cell (GGA+U, the Materials Project) gives the computed powder XRD pattern in this record (Cu Kα (weighted mean of Kα1 and Kα2)).
Kinematic intensities with the Lorentz-polarization factor, no thermal factor.

Peak list (12 most intense, 10° ≤ 2θ ≤ 90°, in order of rising 2θ)
2θ/deg, I/Imax, (hkl)
23.36, 98, 1 0 -2
23.46, 99, 1 1 3
23.70, 100, 0 1 -3
32.95, 38, 1 -1 1
39.40, 17, 2 2 2
39.82, 15, 1 -1 5
47.76, 22, 2 0 -4
47.98, 21, 2 2 6
48.49, 20, 0 2 -6
53.26, 24, -1 1 7
53.40, 22, 1 2 8
53.72, 12, 1 3 -3

Structure:
Unit cell a=5.3070 b=5.4364 c=17.4609 alpha=88.46 beta=81.52 gamma=60.83
Space group P1 (No. 1)
Asymmetric unit:
V: 0.0000 0.0000 0.0000
V: 0.0010 0.4663 0.5033
V: 0.2348 0.4078 0.1196
V: 0.2480 0.8719 0.6231
V: 0.5014 0.2243 0.7530
V: 0.5078 0.7671 0.2541
V: 0.7459 0.6310 0.8720
V: 0.7499 0.1126 0.3731
O: 0.0487 0.1888 0.5574
O: 0.0596 0.6834 0.0659
O: 0.5502 0.9496 0.8074
O: 0.5836 0.9121 0.3254
F: 0.0728 0.1793 0.0842
F: 0.0726 0.6624 0.5844
F: 0.0773 0.4530 0.7860
F: 0.0818 0.9596 0.2876
F: 0.4203 0.2909 0.4587
F: 0.4250 0.7986 0.9591
F: 0.4271 0.5832 0.1682
F: 0.4282 0.0793 0.6615
F: 0.4606 0.0650 0.1808
F: 0.4633 0.5494 0.6881
F: 0.5296 0.4404 0.3119
F: 0.5667 0.4232 0.8344
F: 0.5766 0.2141 0.0376
F: 0.5788 0.6995 0.5365
F: 0.9211 0.3340 0.4122
F: 0.9221 0.0476 0.7091
F: 0.9239 0.5323 0.2095
F: 0.9314 0.8299 0.9128
F: 0.9621 0.7994 0.4387
F: 0.9654 0.3136 0.9351

Record 2
For V3O4F2, a DFT-relaxed cell (GGA+U, the Materials Project) gives the computed powder XRD pattern in this record (Cu Kα (weighted mean of Kα1 and Kα2)).
Kinematic intensities with the Lorentz-polarization factor, no thermal factor.

Peak list (12 most intense, 10° ≤ 2θ ≤ 90°, in order of rising 2θ)
2θ/deg, I/Imax, (hkl)
26.76, 100, 0 1 1
35.38, 47, 3 0 1
38.21, 5, 0 0 2
40.38, 24, 3 1 1
42.93, 9, 0 2 1
53.05, 55, 3 1 2
55.15, 18, 0 2 2
61.59, 8, 6 0 0
62.34, 8, 0 1 3
67.25, 20, 3 0 3
68.38, 11, 6 1 1
87.30, 7, 6 2 2

Structure:
Unit cell a=9.0343 b=4.7133 c=4.7080 alpha=90.00 beta=90.00 gamma=90.00
Space group Pmn2_1 (No. 31)
Asymmetric unit:
V: 0.0000 0.2477 0.0000
V: 0.1539 0.7865 0.4676
O: 0.0000 0.5595 0.2818
O: 0.0000 0.9703 0.6875
O: 0.1717 0.0599 0.1769
F: 0.1703 0.4531 0.7804

Record 3
For V2OF5, a DFT-relaxed cell (GGA+U, the Materials Project) gives the computed powder XRD pattern in this record (Cu Kα (weighted mean of Kα1 and Kα2)).
Kinematic intensities with the Lorentz-polarization factor, no thermal factor.

Peak list (12 most intense, 10° ≤ 2θ ≤ 90°, in order of rising 2θ)
2θ/deg, I/Imax, (hkl)
23.44, 100, 1 1 1
23.90, 50, 0 0 3
32.80, 8, 0 2 1
33.08, 14, 1 1 -2
39.58, 19, 2 1 0
40.15, 8, 1 0 -4
47.94, 23, 2 2 2
48.94, 9, 0 0 6
53.23, 13, -1 3 1
53.38, 12, 2 2 -1
54.05, 7, 1 1 -5
54.82, 7, 3 -1 1

Structure:
Unit cell a=5.2778 b=5.4687 c=11.6702 alpha=79.41 beta=77.02 gamma=89.99
Space group P1 (No. 1)
Asymmetric unit:
V: 0.0000 0.0000 0.0000
V: 0.1433 0.1640 0.6728
V: 0.3284 0.3379 0.3248
V: 0.4990 0.5087 0.9831
V: 0.6604 0.6808 0.6386
V: 0.8310 0.8401 0.3198
O: 0.0016 0.0917 0.8188
O: 0.6624 0.7518 0.4926
O: 0.9984 0.9274 0.1470
F: 0.0089 0.1211 0.3550
F: 0.1197 0.6249 0.3530
F: 0.2133 0.7246 0.9508
F: 0.3129 0.4233 0.1533
F: 0.3155 0.2201 0.9519
F: 0.3329 0.2515 0.4962
F: 0.3471 0.4580 0.6866
F: 0.4478 0.9576 0.6861
F: 0.5411 0.0564 0.2902
F: 0.6503 0.5559 0.2889
F: 0.6755 0.5943 0.8121
F: 0.6813 0.7969 0.0148
F: 0.7825 0.2926 0.0162
F: 0.8803 0.3873 0.6227
F: 0.9793 0.8893 0.6232

Record 4
For V6O5F19, a DFT-relaxed cell (GGA+U, the Materials Project) gives the computed powder XRD pattern in this record (Cu Kα (weighted mean of Kα1 and Kα2)).
Kinematic intensities with the Lorentz-polarization factor, no thermal factor.

Peak list (12 most intense, 10° ≤ 2θ ≤ 90°, in order of rising 2θ)
2θ/deg, I/Imax, (hkl)
18.05, 100, 0 0 3
24.43, 91, 1 1 -1
25.08, 87, 1 -1 1
32.26, 14, 0 2 1
36.58, 12, 0 0 6
40.35, 12, 1 0 6
46.28, 15, 2 2 1
47.78, 14, -2 2 1
51.48, 9, -2 2 4
52.05, 10, 1 1 8
52.40, 11, -1 1 8
56.16, 8, 0 0 9

Structure:
Unit cell a=5.3860 b=5.5516 c=14.9945 alpha=79.44 beta=89.68 gamma=88.28
Space group P1 (No. 1)
Asymmetric unit:
V: 0.0000 0.0000 0.0000
V: 0.0277 0.4143 0.3361
V: 0.1103 0.7256 0.6770
V: 0.5082 0.4879 0.0083
V: 0.5460 0.8920 0.3368
V: 0.6031 0.1797 0.6652
O: 0.3402 0.2489 0.0277
O: 0.3398 0.8996 0.6946
O: 0.7721 0.8354 0.9813
O: 0.8371 0.6558 0.3167
O: 0.8399 0.9963 0.6480
F: 0.1049 0.7463 0.5579
F: 0.1195 0.3903 0.2247
F: 0.1407 0.0838 0.8921
F: 0.2535 0.7322 0.0295
F: 0.2570 0.4216 0.6957
F: 0.2645 0.0747 0.3593
F: 0.3124 0.5775 0.3592
F: 0.4411 0.2315 0.5606
F: 0.4722 0.5993 0.8905
F: 0.4801 0.8964 0.2211
F: 0.6001 0.1460 0.7848
F: 0.6218 0.7969 0.4527
F: 0.6389 0.4968 0.1159
F: 0.7480 0.4711 0.6455
F: 0.7537 0.1735 0.3160
F: 0.8184 0.3179 0.9787
F: 0.9453 0.6628 0.7811
F: 0.9698 0.2955 0.4516
F: 0.9811 0.0037 0.1179

Record 5
For VOF2, a DFT-relaxed cell (GGA+U, the Materials Project) gives the computed powder XRD pattern in this record (Cu Kα (weighted mean of Kα1 and Kα2)).
Kinematic intensities with the Lorentz-polarization factor, no thermal factor.

Peak list (12 most intense, 10° ≤ 2θ ≤ 90°, in order of rising 2θ)
2θ/deg, I/Imax, (hkl)
23.63, 100, 0 1 2
23.91, 53, 1 1 -2
33.13, 7, 1 1 4
33.39, 14, 0 1 -4
39.81, 9, 2 1 3
39.89, 7, 1 -1 3
48.36, 22, 0 2 4
48.94, 10, 2 2 -4
53.80, 7, 1 2 6
54.04, 8, -1 1 6
54.39, 10, 2 1 -6
55.26, 12, -1 2 2

Structure:
Unit cell a=5.2230 b=5.2233 c=13.3794 alpha=89.43 beta=89.34 gamma=60.25
Space group P1 (No. 1)
Asymmetric unit:
V: 0.0000 0.0000 0.0000
V: 0.0132 0.9595 0.5008
V: 0.3114 0.3399 0.8338
V: 0.3420 0.3390 0.3350
V: 0.6184 0.6649 0.6680
V: 0.6559 0.6857 0.1671
O: 0.2124 0.0777 0.9245
O: 0.2227 0.6650 0.4275
O: 0.3269 0.8848 0.5954
O: 0.4009 0.5499 0.7604
O: 0.5521 0.4177 0.2603
O: 0.7348 0.8973 0.0928
F: 0.0386 0.6635 0.9230
F: 0.0663 0.2480 0.4242
F: 0.3160 0.7271 0.0902
F: 0.3844 0.9938 0.2594
F: 0.5781 0.9718 0.7623
F: 0.6268 0.2575 0.9324
F: 0.6414 0.0683 0.4289
F: 0.7449 0.3031 0.5904
F: 0.9101 0.7277 0.5946
F: 0.9133 0.3114 0.0982
F: 0.9684 0.5883 0.2642
F: 0.9764 0.3935 0.7549

Record 6
For V2OF5, a DFT-relaxed cell (GGA+U, the Materials Project) gives the computed powder XRD pattern in this record (Cu Kα (weighted mean of Kα1 and Kα2)).
Kinematic intensities with the Lorentz-polarization factor, no thermal factor.

Peak list (12 most intense, 10° ≤ 2θ ≤ 90°, in order of rising 2θ)
2θ/deg, I/Imax, (hkl)
23.40, 50, 1 0 -2
23.64, 100, 1 1 3
32.87, 7, 1 -1 1
33.00, 13, 0 1 5
39.65, 9, 2 2 2
39.78, 8, 1 -1 5
47.85, 11, 2 0 -4
48.37, 20, 2 2 6
53.18, 6, -2 1 1
53.40, 6, -1 1 7
53.56, 17, 1 -2 4
53.77, 7, 1 2 8

Structure:
Unit cell a=5.2751 b=5.4383 c=17.3667 alpha=88.88 beta=81.83 gamma=61.22
Space group P1 (No. 1)
Asymmetric unit:
V: 0.0000 0.0000 0.0000
V: 0.0034 0.4991 0.5007
V: 0.2555 0.3700 0.1279
V: 0.2599 0.8796 0.6331
V: 0.4894 0.7797 0.2472
V: 0.5028 0.2320 0.7511
V: 0.7542 0.5885 0.8811
V: 0.7605 0.1467 0.3821
O: 0.3119 0.0543 0.1924
O: 0.3349 0.0265 0.7058
O: 0.7973 0.3153 0.9346
O: 0.8356 0.2931 0.4533
F: 0.1744 0.7153 0.5441
F: 0.1758 0.4129 0.8377
F: 0.1784 0.9094 0.3377
F: 0.1860 0.2013 0.0387
F: 0.2237 0.6818 0.0644
F: 0.2315 0.1761 0.5609
F: 0.2746 0.5565 0.6889
F: 0.3238 0.5510 0.2141
F: 0.3291 0.8248 0.9132
F: 0.3317 0.3436 0.4132
F: 0.6761 0.4560 0.7882
F: 0.6768 0.6483 0.5876
F: 0.6830 0.9585 0.2949
F: 0.6845 0.1676 0.0877
F: 0.7176 0.4414 0.3084
F: 0.7206 0.9201 0.8165
F: 0.7766 0.8238 0.4401
F: 0.8229 0.7867 0.9635
F: 0.8274 0.5848 0.1647
F: 0.8317 0.0804 0.6636

Record 7
For V2O3F, a DFT-relaxed cell (GGA+U, the Materials Project) gives the computed powder XRD pattern in this record (Cu Kα (weighted mean of Kα1 and Kα2)).
Kinematic intensities with the Lorentz-polarization factor, no thermal factor.

Peak list (12 most intense, 10° ≤ 2θ ≤ 90°, in order of rising 2θ)
2θ/deg, I/Imax, (hkl)
27.28, 100, 0 2 0
27.45, 88, 2 0 -2
34.91, 93, 3 1 1
40.15, 30, 4 0 0
53.30, 59, 3 3 1
53.44, 23, 5 1 -1
53.57, 24, 1 1 -5
56.28, 17, 0 4 0
56.67, 16, 4 0 -4
59.74, 17, 4 0 4
68.09, 19, 5 3 -1
68.19, 19, 1 3 -5

Structure:
Unit cell a=8.9856 b=6.5382 c=8.9642 alpha=90.00 beta=92.76 gamma=90.00
Space group C2/m (No. 12)
Asymmetric unit:
V: 0.0000 0.0000 0.0000
V: 0.0000 0.5000 0.5000
V: 0.1028 0.0000 0.6356
V: 0.1418 0.5000 0.1460
V: 0.2415 0.5000 0.7626
O: 0.0000 0.1934 0.5000
O: 0.0193 0.5000 0.7288
O: 0.0289 0.0000 0.2200
O: 0.2278 0.0000 0.0146
O: 0.2443 0.1938 0.7412
F: 0.0000 0.3095 0.0000
F: 0.2293 0.5000 0.5279

Record 8
For V6O5F19, a DFT-relaxed cell (GGA+U, the Materials Project) gives the computed powder XRD pattern in this record (Cu Kα (weighted mean of Kα1 and Kα2)).
Kinematic intensities with the Lorentz-polarization factor, no thermal factor.

Peak list (12 most intense, 10° ≤ 2θ ≤ 90°, in order of rising 2θ)
2θ/deg, I/Imax, (hkl)
18.24, 100, 0 0 3
23.99, 49, 1 1 -1
24.14, 47, 1 1 2
25.33, 87, 1 -1 1
31.89, 14, 0 2 1
36.97, 13, 0 0 6
37.51, 9, 2 1 2
39.15, 8, -2 1 2
45.36, 12, 2 2 1
48.26, 14, -2 2 1
52.09, 10, -2 2 4
56.80, 8, 0 0 9

Structure:
Unit cell a=5.3784 b=5.6231 c=14.8314 alpha=79.62 beta=89.58 gamma=86.65
Space group P1 (No. 1)
Asymmetric unit:
V: 0.0000 0.0000 0.0000
V: 0.0053 0.2615 0.3334
V: 0.4749 0.7175 0.3388
V: 0.4807 0.0639 0.6719
V: 0.5475 0.5109 0.9974
V: 0.9718 0.5753 0.6640
O: 0.3046 0.4812 0.3578
O: 0.3116 0.8322 0.6906
O: 0.7209 0.7459 0.9763
O: 0.7442 0.4154 0.6454
O: 0.8092 0.2452 0.9786
F: 0.0895 0.9609 0.8883
F: 0.1125 0.6574 0.5553
F: 0.1158 0.3306 0.2196
F: 0.2191 0.9593 0.3580
F: 0.2279 0.3119 0.6948
F: 0.2431 0.6399 0.0250
F: 0.2811 0.1253 0.0279
F: 0.4442 0.4640 0.8891
F: 0.4446 0.1807 0.5535
F: 0.4450 0.8360 0.2210
F: 0.5997 0.7465 0.4458
F: 0.6027 0.3796 0.1136
F: 0.6122 0.0718 0.7805
F: 0.7368 0.0991 0.3099
F: 0.7885 0.5675 0.3117
F: 0.7905 0.8945 0.6414
F: 0.9272 0.8701 0.1139
F: 0.9524 0.5845 0.7826
F: 0.9564 0.2449 0.4526

Record 9
For V6O5F19, a DFT-relaxed cell (GGA+U, the Materials Project) gives the computed powder XRD pattern in this record (Cu Kα (weighted mean of Kα1 and Kα2)).
Kinematic intensities with the Lorentz-polarization factor, no thermal factor.

Peak list (12 most intense, 10° ≤ 2θ ≤ 90°, in order of rising 2θ)
2θ/deg, I/Imax, (hkl)
18.27, 100, 0 0 3
24.37, 47, 1 1 -1
24.47, 46, 1 1 2
24.98, 90, 1 -1 1
32.05, 16, 0 2 1
37.02, 13, 0 0 6
37.85, 7, 2 1 2
40.74, 12, 1 0 -6
46.18, 13, 2 2 1
47.46, 14, -2 2 1
53.24, 7, 1 -3 0
56.87, 9, 0 0 9

Structure:
Unit cell a=5.3973 b=5.5879 c=14.8196 alpha=79.48 beta=89.85 gamma=88.52
Space group P1 (No. 1)
Asymmetric unit:
V: 0.0000 0.0000 0.0000
V: 0.0187 0.3189 0.3308
V: 0.1134 0.6884 0.6552
V: 0.5023 0.5737 0.9885
V: 0.5446 0.8551 0.3269
V: 0.6184 0.2321 0.6672
O: 0.3216 0.8216 0.9716
O: 0.3456 0.5031 0.6384
O: 0.8236 0.7593 0.0164
O: 0.8414 0.0803 0.3497
O: 0.8460 0.4090 0.6851
F: 0.1107 0.6592 0.7758
F: 0.1315 0.3445 0.4401
F: 0.1531 0.9959 0.1059
F: 0.2559 0.9802 0.6347
F: 0.2724 0.6871 0.3039
F: 0.2816 0.3525 0.9700
F: 0.3224 0.1639 0.3050
F: 0.4551 0.1681 0.7724
F: 0.4882 0.8423 0.4454
F: 0.5047 0.4870 0.1093
F: 0.6111 0.2565 0.5467
F: 0.6471 0.9293 0.2119
F: 0.6533 0.5843 0.8817
F: 0.7574 0.5591 0.3508
F: 0.7624 0.9302 0.6858
F: 0.7774 0.2342 0.0184
F: 0.9497 0.7421 0.5496
F: 0.9834 0.4401 0.2133
F: 0.9982 0.0971 0.8796